This entry pairs a crystal structure of Li3Mn2Si2O8 with its computed powder X-ray diffraction pattern. Radiation: copper Kα. Structure: a cell relaxed with GGA+U.

The 10 most intense peaks (10 to 80 degrees two-theta), low angle first:
4.289 Å, I = 54, (1 0 -2)
4.132 Å, I = 45, (1 0 2)
3.975 Å, I = 100, (1 1 0)
3.175 Å, I = 17, (1 1 2)
2.883 Å, I = 20, (2 0 -2)
2.787 Å, I = 34, (2 0 2)
2.721 Å, I = 34, (0 0 4)
2.482 Å, I = 58, (0 2 0)
1.659 Å, I = 15, (4 0 0)
1.567 Å, I = 15, (2 0 6)

Structural model:
```
Li3Mn2Si2O8
1.0
6.6421 0.0000 0.0000
0.0000 4.9629 0.0000
-0.4146 0.0000 10.8846
Li Mn Si O
6 4 4 16
Direct
0.0000 0.0396 0.0000 Li
0.0000 0.9604 0.5000 Li
0.5107 0.4463 0.8076 Li
0.5107 0.5537 0.3076 Li
0.7518 0.0456 0.2319 Li
0.7518 0.9544 0.7319 Li
0.0139 0.4569 0.8219 Mn
0.0139 0.5431 0.3219 Mn
0.4818 0.0404 0.9939 Mn
0.4818 0.9596 0.4939 Mn
0.2562 0.0666 0.2386 Si
0.2562 0.9334 0.7386 Si
0.7466 0.4486 0.5660 Si
0.7466 0.5514 0.0660 Si
0.0553 0.0470 0.8120 O
0.0553 0.9530 0.3120 O
0.2408 0.0166 0.5946 O
0.2408 0.9834 0.0946 O
0.2532 0.3977 0.2574 O
0.2532 0.6023 0.7574 O
0.4723 0.0377 0.8032 O
0.4723 0.9623 0.3032 O
0.5395 0.4468 0.9945 O
0.5395 0.5532 0.4945 O
0.7509 0.1162 0.5648 O
0.7509 0.8838 0.0648 O
0.7648 0.4480 0.2119 O
0.7648 0.5520 0.7119 O
0.9357 0.4313 0.9894 O
0.9357 0.5687 0.4894 O
```